# 1
For PmNpN3, a DFT-relaxed cell (GGA-PBE, Alexandria) gives the calculated X-ray powder pattern in this record (CuKα).

Crystal structure
```
PmNpN3
1.0
5.1635 -2.9313 0.0000
5.1635 2.9313 0.0000
-3.3687 0.0000 9.5962
Pm Np N
4 4 12
Direct
0.1061 0.6213 0.8656 Pm
0.3787 0.8939 0.6344 Pm
0.6213 0.1061 0.3656 Pm
0.8939 0.3787 0.1344 Pm
0.0000 0.5000 0.5000 Np
0.2523 0.7477 0.2500 Np
0.5000 0.0000 0.0000 Np
0.7477 0.2523 0.7500 Np
0.1594 0.1616 0.8485 N
0.1616 0.1594 0.3485 N
0.1798 0.6886 0.4231 N
0.3114 0.8202 0.0769 N
0.3332 0.3500 0.6553 N
0.3500 0.3332 0.1553 N
0.6500 0.6668 0.8447 N
0.6668 0.6500 0.3447 N
0.6886 0.1798 0.9231 N
0.8202 0.3114 0.5769 N
0.8384 0.8406 0.6515 N
0.8406 0.8384 0.1515 N
```

Top 8 peaks for 2θ from 10° to 90°, by angle:
d (Å), intensity
4.171, 15.5
2.967, 100.0
2.934, 98.9
2.090, 14.7
2.084, 30.7
1.719, 22.1
1.701, 29.3
1.694, 21.0

# 2
For PmNd2ErTh, a DFT-relaxed cell (GGA-PBE, Alexandria) gives the calculated X-ray powder pattern in this record (CuKα).

Crystal structure
```
PmNd2ErTh
1.0
8.6638 0.0000 0.0000
0.0000 6.4287 0.0000
-0.7647 0.0000 6.3591
Pm Nd Er Th
2 4 2 2
Direct
0.0000 0.0000 0.0000 Pm
0.0000 0.0000 0.5000 Pm
0.3139 0.3045 0.2109 Nd
0.3139 0.6955 0.7109 Nd
0.6861 0.3045 0.2891 Nd
0.6861 0.6955 0.7891 Nd
0.5000 0.1762 0.7500 Er
0.5000 0.8238 0.2500 Er
0.0000 0.4522 0.7500 Th
0.0000 0.5478 0.2500 Th
```

Top 8 peaks for 2θ from 10° to 90°, by angle:
d (Å), intensity
4.301, 50.3
3.257, 56.0
3.180, 52.8
3.011, 100.0
2.992, 72.7
2.868, 48.7
2.622, 64.1
2.139, 50.3

# 3
For Tb8SiGe3Te4, a DFT-relaxed cell (GGA-PBE, Alexandria) gives the calculated X-ray powder pattern in this record (CuKα).

Crystal structure
```
Tb8SiGe3Te4
1.0
4.2549 2.4566 7.1194
-4.2549 2.4566 7.1194
0.0000 -4.9132 7.1194
Tb Si Ge Te
8 1 3 4
Direct
0.2403 0.2403 0.2403 Tb
0.2414 0.7395 0.7395 Tb
0.2605 0.2605 0.7586 Tb
0.2605 0.7586 0.2605 Tb
0.7395 0.2414 0.7395 Tb
0.7395 0.7395 0.2414 Tb
0.7586 0.2605 0.2605 Tb
0.7597 0.7597 0.7597 Tb
0.5000 0.5000 0.5000 Si
0.0000 0.0000 0.5000 Ge
0.0000 0.5000 0.0000 Ge
0.5000 0.0000 0.0000 Ge
0.0000 0.0000 0.0000 Te
0.0000 0.5000 0.5000 Te
0.5000 0.0000 0.5000 Te
0.5000 0.5000 0.0000 Te
```

Top 8 peaks for 2θ from 10° to 90°, by angle:
d (Å), intensity
3.033, 100.0
2.162, 34.4
2.127, 38.3
1.742, 19.8
1.516, 11.1
1.365, 12.7
1.348, 16.8
1.235, 11.2

# 4
For MnTlFeCl6, a DFT-relaxed cell (GGA-PBE, Alexandria) gives the calculated X-ray powder pattern in this record (CuKα).

Crystal structure
```
MnTlFeCl6
1.0
6.3780 0.0000 0.0000
-3.0993 5.6314 0.0000
-0.1287 -0.0978 7.0820
Mn Tl Fe Cl
1 1 1 6
Direct
0.0000 0.0000 0.0000 Mn
0.3341 0.6691 0.4989 Tl
0.6668 0.3420 0.9989 Fe
0.3397 0.0441 0.1922 Cl
0.3457 0.2959 0.7959 Cl
0.7022 0.6549 0.2014 Cl
0.7121 0.0465 0.8007 Cl
0.9517 0.2888 0.1997 Cl
0.9579 0.6587 0.8073 Cl
```

Top 8 peaks for 2θ from 10° to 90°, by angle:
d (Å), intensity
4.436, 100.0
4.373, 98.5
4.335, 98.1
2.931, 59.8
2.577, 19.0
2.423, 35.8
2.375, 45.8
2.348, 33.7